No. 1
Starting from DFT lattice parameters and positions (PBE), the PXRD pattern of GdScCSe was computed for Cu Kα.

Cell and atoms:
a b c (Å): 3.6623 3.6623 12.9205
angles (deg): 90.00 90.00 120.00
Space group P-6m2 (No. 187)
One atom of each set of equivalent atoms:
Gd: 0.0000 0.0000 0.1590 (multiplicity 2)
Sc: 0.3333 0.6667 0.3580 (multiplicity 2)
C: 0.6667 0.3333 0.2649 (multiplicity 2)
Se: 0.0000 0.0000 0.5000 (multiplicity 1)
Se: 0.3333 0.6667 0.0000 (multiplicity 1)

Most intense lines, 2θ from 10° to 90°, most intense first:
| 2θ (°) | I_rel | index |
| --- | --- | --- |
| 35.14 | 100 | 1 0 3 |
| 28.14 | 38 | 1 0 0 |
| 49.80 | 26 | 1 1 0 |
| 62.40 | 18 | 2 0 3 |
| 51.28 | 17 | 1 0 6 |
| 83.76 | 16 | 2 1 3 |
| 67.10 | 15 | 1 1 6 |
| 20.62 | 13 | 0 0 3 |
| 41.95 | 10 | 0 0 6 |
| 72.24 | 9 | 1 0 9 |

***

No. 2
Starting from DFT lattice parameters and positions (PBE), the PXRD pattern of GdZrCSe was computed for Cu Kα.

Cell and atoms:
a b c (Å): 3.6114 3.6114 13.1485
angles (deg): 90.00 90.00 120.00
Space group P-6m2 (No. 187)
One atom of each set of equivalent atoms:
Gd: 0.0000 0.0000 0.1553 (multiplicity 2)
Zr: 0.3333 0.6667 0.3533 (multiplicity 2)
C: 0.6667 0.3333 0.2690 (multiplicity 2)
Se: 0.0000 0.0000 0.5000 (multiplicity 1)
Se: 0.3333 0.6667 0.0000 (multiplicity 1)

Most intense lines, 2θ from 10° to 90°, most intense first:
| 2θ (°) | I_rel | index |
| --- | --- | --- |
| 35.25 | 100 | 1 0 3 |
| 28.54 | 30 | 1 0 0 |
| 50.55 | 26 | 1 1 0 |
| 63.13 | 18 | 2 0 3 |
| 84.98 | 16 | 2 1 3 |
| 67.17 | 16 | 1 1 6 |
| 50.88 | 12 | 1 0 6 |
| 41.19 | 11 | 0 0 6 |
| 71.24 | 8 | 1 0 9 |
| 29.35 | 7 | 1 0 1 |

***

No. 3
Starting from DFT lattice parameters and positions (PBE), the PXRD pattern of Hf8Ge2C3N3 was computed for Cu Kα.

Cell and atoms:
a b c (Å): 3.2579 3.2579 24.0392
angles (deg): 90.00 90.00 120.00
Space group P-3m1 (No. 164)
One atom of each set of equivalent atoms:
Hf: 0.0000 0.0000 0.1596 (multiplicity 2)
Hf: 0.0000 0.0000 0.3373 (multiplicity 2)
Hf: 0.3333 0.6667 0.5542 (multiplicity 2)
Hf: 0.3333 0.6667 0.9444 (multiplicity 2)
Ge: 0.3333 0.6667 0.7514 (multiplicity 2)
C: 0.0000 0.0000 0.5000 (multiplicity 1)
C: 0.3333 0.6667 0.3868 (multiplicity 2)
N: 0.0000 0.0000 0.0000 (multiplicity 1)
N: 0.3333 0.6667 0.1074 (multiplicity 2)

Most intense lines, 2θ from 10° to 90°, most intense first:
| 2θ (°) | I_rel | index |
| --- | --- | --- |
| 39.05 | 100 | 1 0 6 |
| 36.94 | 69 | 0 1 5 |
| 56.49 | 48 | 1 1 0 |
| 32.60 | 41 | 0 1 2 |
| 35.14 | 40 | 1 0 4 |
| 69.73 | 34 | 1 1 10 |
| 37.41 | 34 | 0 0 10 |
| 56.32 | 23 | 0 1 12 |
| 33.68 | 20 | 1 0 3 |
| 31.94 | 18 | 1 0 1 |